# HoAl3Cl12
Computed powder diffractogram, Cu Kα X-rays. Input: a DFT-relaxed cell (PBE, the Materials Project).

Structural model:
Cell: 10.8002 10.8002 15.9802 Å, 90.00 90.00 120.00°
Element x y z (fractional)
Ho 0.1712 0.3424 0.1667
Ho 0.1712 0.8288 0.8333
Ho 0.6576 0.8288 0.5000
Al 0.2040 0.6020 0.0000
Al 0.3006 0.0963 0.2303
Al 0.3006 0.2043 0.7697
Al 0.3980 0.6020 0.3333
Al 0.3980 0.7960 0.6667
Al 0.7957 0.0963 0.1030
Al 0.7957 0.6994 0.8970
Al 0.9037 0.2043 0.5637
Al 0.9037 0.6994 0.4363
Cl 0.0058 0.1760 0.0384
Cl 0.0058 0.8299 0.9616
Cl 0.0763 0.5327 0.1131
Cl 0.0763 0.5436 0.8869
Cl 0.1256 0.3019 0.5432
Cl 0.1256 0.8237 0.4568
Cl 0.1701 0.1760 0.2950
Cl 0.1696 0.4981 0.3154
Cl 0.1696 0.6715 0.6846
Cl 0.1701 0.9942 0.7050
Cl 0.1763 0.3019 0.7902
Cl 0.1763 0.8744 0.2098
Cl 0.3207 0.1067 0.8882
Cl 0.3207 0.2140 0.1118
Cl 0.3285 0.4981 0.0179
Cl 0.3285 0.8304 0.9821
Cl 0.4564 0.5327 0.2202
Cl 0.4564 0.9237 0.7798
Cl 0.4673 0.5436 0.4464
Cl 0.4673 0.9237 0.5536
Cl 0.4993 0.1740 0.2897
Cl 0.4993 0.3253 0.7103
Cl 0.5019 0.6715 0.6487
Cl 0.5019 0.8304 0.3513
Cl 0.6747 0.1740 0.0436
Cl 0.6747 0.5007 0.9564
Cl 0.6981 0.8237 0.8765
Cl 0.6981 0.8744 0.1235
Cl 0.7860 0.1067 0.4451
Cl 0.7860 0.6793 0.5549
Cl 0.8240 0.8299 0.3717
Cl 0.8240 0.9942 0.6283
Cl 0.8260 0.3253 0.6230
Cl 0.8260 0.5007 0.3770
Cl 0.8933 0.2140 0.2216
Cl 0.8933 0.6793 0.7784

Top 8 peaks for 10 to 80 degrees two-theta, sorted by position:
2θ (°), I_rel
10.96, 100
14.58, 68
18.98, 19
23.46, 22
25.34, 22
30.78, 22
32.56, 22
37.34, 30


# AlI3Cl6
Computed powder diffractogram, Cu Kα X-rays. Input: a DFT-relaxed cell (PBE, the Materials Project).

Structural model:
Cell: 14.4975 14.4975 14.9754 Å, 106.50 106.50 31.01°
Element x y z (fractional)
Al 0.0772 0.1847 0.4609
Al 0.1847 0.0772 0.9609
Al 0.8153 0.9228 0.0391
Al 0.9228 0.8153 0.5391
I 0.1463 0.4497 0.6728
I 0.2025 0.7309 0.3972
I 0.2691 0.7975 0.1028
I 0.3358 0.4327 0.2831
I 0.4327 0.3358 0.7831
I 0.4497 0.1463 0.1728
I 0.5503 0.8537 0.8272
I 0.5673 0.6642 0.2169
I 0.6642 0.5673 0.7169
I 0.7309 0.2025 0.8972
I 0.7975 0.2691 0.6028
I 0.8537 0.5503 0.3272
Cl 0.0118 0.8508 0.6597
Cl 0.0531 0.3180 0.9545
Cl 0.0951 0.1162 0.0838
Cl 0.1026 0.4068 0.7873
Cl 0.1162 0.0951 0.5838
Cl 0.1443 0.5220 0.5096
Cl 0.1492 0.9882 0.8403
Cl 0.3180 0.0531 0.4545
Cl 0.3811 0.5487 0.1057
Cl 0.4068 0.1026 0.2873
Cl 0.4513 0.6189 0.3943
Cl 0.4780 0.8557 0.9904
Cl 0.5220 0.1443 0.0096
Cl 0.5487 0.3811 0.6057
Cl 0.5932 0.8974 0.7127
Cl 0.6189 0.4513 0.8943
Cl 0.6820 0.9469 0.5455
Cl 0.8508 0.0118 0.1597
Cl 0.8557 0.4780 0.4904
Cl 0.8838 0.9049 0.4162
Cl 0.8974 0.5932 0.2127
Cl 0.9049 0.8838 0.9162
Cl 0.9469 0.6820 0.0455
Cl 0.9882 0.1492 0.3403

Top 8 peaks for 10 to 80 degrees two-theta, sorted by position:
2θ (°), I_rel
13.85, 80
15.23, 83
17.47, 65
17.64, 69
21.28, 54
25.22, 40
26.57, 100
28.23, 59


# AlICl6
Computed powder diffractogram, Cu Kα X-rays. Input: a DFT-relaxed cell (PBE, the Materials Project).

Structural model:
Cell: 6.3543 11.8625 7.4360 Å, 90.00 98.50 90.00°
Element x y z (fractional)
Al 0.0880 0.0000 0.0106
Al 0.9120 0.5000 0.9894
I 0.4931 0.6506 0.2990
I 0.5069 0.1506 0.7010
Cl 0.1810 0.8819 0.8237
Cl 0.1819 0.9618 0.2897
Cl 0.2084 0.1697 0.9518
Cl 0.2341 0.6193 0.4905
Cl 0.2641 0.5123 0.0239
Cl 0.2918 0.2715 0.4998
Cl 0.7082 0.7715 0.5002
Cl 0.7359 0.0123 0.9761
Cl 0.7659 0.1193 0.5095
Cl 0.7916 0.6697 0.0482
Cl 0.8181 0.4618 0.7103
Cl 0.8190 0.3819 0.1763

Top 8 peaks for 10 to 80 degrees two-theta, sorted by position:
2θ (°), I_rel
14.16, 100
14.94, 47
18.72, 33
19.22, 28
20.59, 60
21.27, 57
25.58, 47
30.19, 81